[1]
Simulated powder diffractogram of Pr2In for λ = 1.5418 Å (Cu Kα), from a cell relaxed with GGA-PBE.
Neutral-atom scattering factors, no anomalous dispersion.

Cell lengths 5.616, 5.616, 7.015 Å; angles 90.00, 90.00, 120.00 degrees
Fractional positions:
Pr 0.000 0.000 0.000
Pr 0.000 0.000 0.500
Pr 0.333 0.667 0.250
Pr 0.667 0.333 0.750
In 0.333 0.667 0.750
In 0.667 0.333 0.250

Main lines, low angle first (2θ from 10° to 90°):
(1 0 2), 31.4 deg, intensity 949
(1 1 0), 31.9 deg, intensity 1000
(1 1 2), 41.2 deg, intensity 84
(2 0 2), 45.4 deg, intensity 343
(0 0 4), 52.2 deg, intensity 82
(2 1 2), 56.5 deg, intensity 355
(3 0 0), 56.8 deg, intensity 191
(1 1 4), 62.4 deg, intensity 285
(2 2 0), 66.6 deg, intensity 117
(3 1 2), 75.5 deg, intensity 150
(3 0 4), 80.7 deg, intensity 137
(2 2 4), 89.4 deg, intensity 110

***

[2]
Simulated powder diffractogram of Ho3CuSnS7 for λ = 1.5418 Å (Cu Kα), from a cell relaxed with GGA-PBE.
Neutral-atom scattering factors, no anomalous dispersion.

Cell lengths 9.710, 9.710, 6.248 Å; angles 90.00, 90.00, 120.00 degrees
Fractional positions:
Ho 0.152 0.793 0.000
Ho 0.207 0.359 0.000
Ho 0.359 0.152 0.500
Ho 0.641 0.848 0.000
Ho 0.793 0.641 0.500
Ho 0.848 0.207 0.500
Cu 0.000 0.000 0.376
Cu 0.000 0.000 0.876
Sn 0.333 0.667 0.563
Sn 0.667 0.333 0.063
S 0.081 0.521 0.747
S 0.117 0.854 0.418
S 0.146 0.263 0.418
S 0.263 0.117 0.918
S 0.333 0.667 0.178
S 0.440 0.919 0.747
S 0.479 0.560 0.747
S 0.521 0.440 0.247
S 0.560 0.081 0.247
S 0.667 0.333 0.678
S 0.737 0.883 0.418
S 0.854 0.737 0.918
S 0.883 0.146 0.918
S 0.919 0.479 0.247

Main lines, low angle first (2θ from 10° to 90°):
(2 0 0), 21.1 deg, intensity 173
(2 0 1), 25.5 deg, intensity 1000
(0 0 2), 28.6 deg, intensity 183
(3 0 1), 35.1 deg, intensity 114
(2 0 2), 35.8 deg, intensity 311
(2 2 0), 37.0 deg, intensity 526
(2 1 2), 40.5 deg, intensity 151
(4 0 1), 45.5 deg, intensity 173
(2 2 2), 47.4 deg, intensity 238
(2 0 3), 48.8 deg, intensity 319
(2 4 1), 60.1 deg, intensity 126
(4 3 2), 75.2 deg, intensity 120